Sr4LiMn2Cu3S4O4: theoretical X-ray diffraction stick pattern (Cu Kα), based on a GGA+U-relaxed structure.
Kinematic intensities with the Lorentz-polarization factor, no thermal factor.

Principal peaks in the range 2θ = 10–80°, by angle:
(0 2 1), 2θ 31.23, d 2.864, I = 74; (1 -1 2), 2θ 32.50, d 2.755, I = 71; (-1 1 3), 2θ 34.31, d 2.614, I = 100; (1 1 2), 2θ 34.60, d 2.592, I = 65; (0 2 -2), 2θ 34.85, d 2.574, I = 88; (2 0 1), 2θ 37.09, d 2.424, I = 54; (-2 2 1), 2θ 41.23, d 2.189, I = 66; (2 2 -1), 2θ 43.87, d 2.064, I = 79

```
data_Sr4LiMn2Cu3S4O4
_space_group_name_H-M_alt 'P 1'
_space_group_IT_number 1
_cell_length_a 5.837
_cell_length_b 6.228
_cell_length_c 8.918
_cell_angle_alpha 91.96
_cell_angle_beta 107.75
_cell_angle_gamma 93.47
loop_
_space_group_symop_operation_xyz
'x,y,z'
loop_
_atom_site_label
_atom_site_type_symbol
_atom_site_fract_x
_atom_site_fract_y
_atom_site_fract_z
Sr1 Sr 0.000 0.000 0.000
Sr2 Sr 0.166 0.941 0.418
Sr3 Sr 0.413 0.587 0.970
Sr4 Sr 0.666 0.423 0.378
Li1 Li 0.547 0.185 0.049
Mn1 Mn 0.064 0.473 0.188
Mn2 Mn 0.616 0.921 0.260
Cu1 Cu 0.046 0.256 0.690
Cu2 Cu 0.561 0.260 0.711
Cu3 Cu 0.591 0.699 0.671
S1 S 0.246 0.458 0.530
S2 S 0.365 0.995 0.808
S3 S 0.726 0.985 0.550
S4 S 0.875 0.495 0.846
O1 O 0.279 0.781 0.185
O2 O 0.328 0.296 0.139
O3 O 0.794 0.670 0.208
O4 O 0.842 0.161 0.207
```

***

Sr4LiMn2Cu3S4O4: theoretical X-ray diffraction stick pattern (Cu Kα), based on a GGA+U-relaxed structure.
Kinematic intensities with the Lorentz-polarization factor, no thermal factor.

Principal peaks in the range 2θ = 10–80°, by angle:
(2 0 0), 2θ 29.90, d 2.989, I = 35; (2 0 -1), 2θ 31.76, d 2.817, I = 66; (1 1 3), 2θ 33.50, d 2.675, I = 89; (1 -1 2), 2θ 34.44, d 2.604, I = 89; (2 0 2), 2θ 36.85, d 2.439, I = 100; (2 2 1), 2θ 41.23, d 2.189, I = 51; (-2 2 1), 2θ 44.31, d 2.044, I = 52; (-3 1 3), 2θ 56.66, d 1.624, I = 41

```
data_Sr4LiMn2Cu3S4O4
_space_group_name_H-M_alt 'P 1'
_space_group_IT_number 1
_cell_length_a 5.991
_cell_length_b 5.992
_cell_length_c 8.961
_cell_angle_alpha 70.48
_cell_angle_beta 88.69
_cell_angle_gamma 86.08
loop_
_space_group_symop_operation_xyz
'x,y,z'
loop_
_atom_site_label
_atom_site_type_symbol
_atom_site_fract_x
_atom_site_fract_y
_atom_site_fract_z
Sr1 Sr 0.000 0.000 0.000
Sr2 Sr 0.044 0.248 0.608
Sr3 Sr 0.453 0.656 0.608
Sr4 Sr 0.498 0.512 0.000
Li1 Li 0.749 0.960 0.591
Mn1 Mn 0.504 0.092 0.828
Mn2 Mn 0.995 0.592 0.828
Cu1 Cu 0.249 0.109 0.295
Cu2 Cu 0.749 0.111 0.290
Cu3 Cu 0.749 0.608 0.296
S1 S 0.506 0.273 0.450
S2 S 0.508 0.938 0.154
S3 S 0.990 0.420 0.154
S4 S 0.992 0.789 0.449
O1 O 0.249 0.354 0.804
O2 O 0.249 0.851 0.809
O3 O 0.749 0.355 0.802
O4 O 0.749 0.853 0.805
```